No. 1
This entry pairs a crystal structure of CaB2O4 with its simulated powder XRD pattern. Radiation: Cu Kα (λ = 1.5418 Å). Structure: a DFT-relaxed cell (PBE, Alexandria).

Structure:
Cell lengths 11.646, 4.331, 6.350 Å; angles 90.00, 90.00, 90.00 degrees
Space group Pbcn (No. 60)
Unique sites:
1 Ca 0.000 0.220 0.250 (multiplicity 4)
2 B 0.192 0.326 0.625 (multiplicity 8)
3 O 0.086 0.227 0.587 (multiplicity 8)
4 O 0.208 0.352 0.149 (multiplicity 8)

Peak list (6 most intense, 2θ from 15° to 90°, in order of rising 2θ)
2θ/deg	intensity	h k l
26.1	52	1 1 1
29.2	100	1 0 2
34.1	41	3 1 1
41.7	33	0 2 0
46.5	54	5 1 1
48.5	52	1 1 3

---

No. 2
This entry pairs a crystal structure of KTl2HgO with its simulated powder XRD pattern. Radiation: Cu Kα (λ = 1.5418 Å). Structure: a DFT-relaxed cell (PBE, Alexandria).

Structure:
Cell lengths 7.274, 7.274, 10.573 Å; angles 90.00, 90.00, 90.00 degrees
Space group I4cm (No. 108)
Unique sites:
1 K 0.000 0.000 0.000 (multiplicity 4)
2 Tl 0.195 0.305 0.249 (multiplicity 8)
3 Hg 0.000 0.500 0.499 (multiplicity 4)
4 O 0.000 0.000 0.250 (multiplicity 4)

Peak list (6 most intense, 2θ from 15° to 90°, in order of rising 2θ)
2θ/deg	intensity	h k l
28.7	44	2 1 1
29.8	100	2 0 2
33.9	27	0 0 4
34.9	29	2 2 0
37.6	22	2 1 3
42.9	23	3 1 2

---

No. 3
This entry pairs a crystal structure of MgTl2GaSn2 with its simulated powder XRD pattern. Radiation: Cu Kα (λ = 1.5418 Å). Structure: a DFT-relaxed cell (PBE, Alexandria).

Structure:
Cell lengths 6.322, 15.387, 6.869 Å; angles 90.00, 90.00, 90.00 degrees
Space group Ibam (No. 72)
Unique sites:
1 Mg 0.000 0.000 0.250 (multiplicity 4)
2 Tl 0.233 0.174 0.000 (multiplicity 8)
3 Ga 0.000 0.500 0.250 (multiplicity 4)
4 Sn 0.224 0.383 0.000 (multiplicity 8)

Peak list (6 most intense, 2θ from 15° to 90°, in order of rising 2θ)
2θ/deg	intensity	h k l
25.9	59	0 0 2
28.2	44	2 0 0
30.1	100	1 4 1
35.0	57	0 4 2
36.8	34	2 4 0
38.7	74	2 0 2

---

No. 4
This entry pairs a crystal structure of CsGe2O with its simulated powder XRD pattern. Radiation: Cu Kα (λ = 1.5418 Å). Structure: a DFT-relaxed cell (PBE, Alexandria).

Structure:
Cell lengths 5.289, 5.289, 15.485 Å; angles 90.00, 90.00, 90.00 degrees
Space group I4_1/amd (No. 141, origin choice 2)
Unique sites:
1 Cs 0.000 0.250 0.375 (multiplicity 4)
2 Ge 0.000 0.000 0.000 (multiplicity 8)
3 O 0.000 0.250 0.875 (multiplicity 4)

Peak list (6 most intense, 2θ from 15° to 90°, in order of rising 2θ)
2θ/deg	intensity	h k l
24.1	100	1 0 3
26.5	72	1 1 2
33.5	43	1 0 5
35.9	34	2 0 2
38.5	59	2 1 1
54.5	38	2 2 4

---

No. 5
This entry pairs a crystal structure of PmNdBeCd with its simulated powder XRD pattern. Radiation: Cu Kα (λ = 1.5418 Å). Structure: a DFT-relaxed cell (PBE, Alexandria).

Structure:
Cell lengths 7.403, 7.403, 7.403 Å; angles 90.00, 90.00, 90.00 degrees
Space group F-43m (No. 216)
Unique sites:
1 Pm 0.000 0.000 0.000 (multiplicity 4)
2 Nd 0.000 0.000 0.500 (multiplicity 4)
3 Be 0.250 0.250 0.750 (multiplicity 4)
4 Cd 0.250 0.250 0.250 (multiplicity 4)

Peak list (6 most intense, 2θ from 15° to 90°, in order of rising 2θ)
2θ/deg	intensity	h k l
20.8	16	1 1 1
24.0	21	2 0 0
34.3	100	2 2 0
49.2	18	4 0 0
61.3	36	4 2 2
82.4	16	6 2 0

---

No. 6
This entry pairs a crystal structure of TbTm2In3Te6 with its simulated powder XRD pattern. Radiation: Cu Kα (λ = 1.5418 Å). Structure: a DFT-relaxed cell (PBE, Alexandria).

Structure:
Cell lengths 7.606, 13.174, 8.502 Å; angles 90.00, 107.36, 90.00 degrees
Space group C2/m (No. 12)
Unique sites:
1 Tb 0.000 0.000 0.000 (multiplicity 2)
2 Tm 0.000 0.333 0.000 (multiplicity 4)
3 In 0.000 0.165 0.500 (multiplicity 4)
4 In 0.000 0.500 0.500 (multiplicity 2)
5 Te 0.235 0.500 0.216 (multiplicity 4)
6 Te 0.241 0.169 0.217 (multiplicity 8)

Peak list (6 most intense, 2θ from 15° to 90°, in order of rising 2θ)
2θ/deg	intensity	h k l
27.7	100	1 3 1
37.9	39	2 0 2
41.1	36	0 6 0
50.3	19	4 0 0
62.3	15	3 3 3
66.9	16	4 6 0

---

No. 7
This entry pairs a crystal structure of SrCaPH2 with its simulated powder XRD pattern. Radiation: Cu Kα (λ = 1.5418 Å). Structure: a DFT-relaxed cell (PBE, Alexandria).

Structure:
Cell lengths 4.362, 12.311, 7.008 Å; angles 90.00, 90.00, 90.00 degrees
Space group Cmcm (No. 63)
Unique sites:
1 Sr 0.000 0.227 0.250 (multiplicity 4)
2 Ca 0.000 0.500 0.000 (multiplicity 4)
3 P 0.000 0.046 0.750 (multiplicity 4)
4 H 0.000 0.320 0.563 (multiplicity 8)

Peak list (6 most intense, 2θ from 15° to 90°, in order of rising 2θ)
2θ/deg	intensity	h k l
25.1	100	1 1 1
29.0	49	0 4 0
29.3	57	0 2 2
32.6	93	1 3 1
33.6	58	1 1 2
51.6	35	0 6 2

---

No. 8
This entry pairs a crystal structure of Te with its simulated powder XRD pattern. Radiation: Cu Kα (λ = 1.5418 Å). Structure: a DFT-relaxed cell (PBE, Alexandria).

Structure:
Cell lengths 4.4995, 4.4995, 5.9629 Å; angles 90.00, 90.00, 120.00 degrees
Space group P3_221 (No. 154)
Unique sites:
1 Te 0.0000 0.2704 0.3333 (multiplicity 3)

Peak list (6 most intense, 2θ from 15° to 90°, in order of rising 2θ)
2θ/deg	intensity	h k l
27.3	100	0 1 1
38.0	41	1 0 2
40.1	27	1 1 0
49.2	19	2 0 1
56.4	13	0 2 2
62.3	15	1 1 3

---

No. 9
This entry pairs a crystal structure of KAg2F11 with its simulated powder XRD pattern. Radiation: Cu Kα (λ = 1.5418 Å). Structure: a DFT-relaxed cell (PBE, Alexandria).

Structure:
Cell lengths 10.562, 9.768, 9.603 Å; angles 90.00, 90.00, 90.00 degrees
Space group Ima2 (No. 46)
Unique sites:
1 K 0.000 0.000 0.000 (multiplicity 4)
2 Ag 0.250 0.152 0.361 (multiplicity 4)
3 Ag 0.250 0.656 0.123 (multiplicity 4)
4 F 0.120 0.589 0.249 (multiplicity 8)
5 F 0.121 0.040 0.274 (multiplicity 8)
6 F 0.121 0.237 0.948 (multiplicity 8)
7 F 0.121 0.721 0.997 (multiplicity 8)
8 F 0.250 0.039 0.540 (multiplicity 4)
9 F 0.250 0.228 0.705 (multiplicity 4)
10 F 0.250 0.666 0.705 (multiplicity 4)

Peak list (6 most intense, 2θ from 15° to 90°, in order of rising 2θ)
2θ/deg	intensity	h k l
16.8	68	2 0 0
21.2	61	2 1 1
22.1	72	1 2 1
22.3	100	1 1 2
32.9	25	3 1 2
43.2	36	2 3 3

---

No. 10
This entry pairs a crystal structure of Hf2BeAlIr2 with its simulated powder XRD pattern. Radiation: Cu Kα (λ = 1.5418 Å). Structure: a DFT-relaxed cell (PBE, Alexandria).

Structure:
Cell lengths 5.361, 13.749, 5.305 Å; angles 90.00, 90.00, 90.00 degrees
Space group Ibam (No. 72)
Unique sites:
1 Hf 0.199 0.176 0.000 (multiplicity 8)
2 Be 0.000 0.500 0.250 (multiplicity 4)
3 Al 0.000 0.000 0.250 (multiplicity 4)
4 Ir 0.200 0.375 0.000 (multiplicity 8)

Peak list (6 most intense, 2θ from 15° to 90°, in order of rising 2θ)
2θ/deg	intensity	h k l
25.9	80	0 4 0
33.4	65	2 0 0
33.8	100	0 0 2
35.3	76	1 4 1
38.2	71	2 1 1
46.4	78	1 6 1

---

No. 11
This entry pairs a crystal structure of Tb6Pm2In with its simulated powder XRD pattern. Radiation: Cu Kα (λ = 1.5418 Å). Structure: a DFT-relaxed cell (PBE, Alexandria).

Structure:
Cell lengths 6.252, 17.323, 5.807 Å; angles 90.00, 116.12, 90.00 degrees
Space group C2/m (No. 12)
Unique sites:
1 Tb 0.180 0.154 0.348 (multiplicity 8)
2 Tb 0.196 0.000 0.845 (multiplicity 4)
3 Pm 0.000 0.322 0.000 (multiplicity 4)
4 In 0.000 0.500 0.500 (multiplicity 2)

Peak list (6 most intense, 2θ from 15° to 90°, in order of rising 2θ)
2θ/deg	intensity	h k l
30.6	45	2 2 -1
31.0	50	0 6 0
31.2	57	1 1 -2
32.1	100	1 3 1
35.6	41	2 4 -1
55.8	21	1 9 1

---

No. 12
This entry pairs a crystal structure of NaTcNiN2 with its simulated powder XRD pattern. Radiation: Cu Kα (λ = 1.5418 Å). Structure: a DFT-relaxed cell (PBE, Alexandria).

Structure:
Cell lengths 5.696, 4.683, 5.254 Å; angles 90.00, 100.08, 90.00 degrees
Space group P2/c (No. 13)
Unique sites:
1 Na 0.000 0.226 0.250 (multiplicity 2)
2 Tc 0.500 0.496 0.750 (multiplicity 2)
3 Ni 0.500 0.000 0.000 (multiplicity 2)
4 N 0.289 0.307 0.962 (multiplicity 4)

Peak list (6 most intense, 2θ from 15° to 90°, in order of rising 2θ)
2θ/deg	intensity	h k l
15.8	100	1 0 0
31.9	26	2 0 0
39.8	20	0 1 2
40.6	22	1 1 -2
41.8	25	1 2 0
45.4	17	1 1 2

---

- Which formula does entry 1 have?
  CaB2O4